CrHSe3O8: simulated powder X-ray diffraction pattern (copper Kα), based on a GGA+U-relaxed structure.
Lines closer than 0.1° are merged.

Most intense lines, 2θ = 10–80°, sorted by position:
2θ/deg	I_rel	hkl
15.1	407	1 0 1
23.0	202	0 0 2
24.2	1000	2 1 1
26.1	557	0 3 1
30.5	118	2 0 2
34.4	151	2 2 2
37.3	310	2 4 0
39.1	146	2 4 1

Structural model:
```
CrHSe3O8
1.0
8.996 0.000 0.000
0.000 11.438 0.000
0.000 0.000 7.733
Cr H Se O
4 4 12 32
Cartesian
0.000 0.000 0.000
0.000 5.719 0.000
4.498 0.000 3.867
4.498 5.719 3.867
1.200 2.860 3.440
3.298 8.579 7.306
5.697 2.860 0.427
7.796 8.579 4.294
0.117 8.579 6.221
1.962 6.940 2.274
1.962 10.217 2.274
2.536 1.221 6.140
2.536 4.498 6.140
4.381 2.860 2.354
4.614 8.579 5.379
6.460 6.940 1.593
6.460 10.217 1.593
7.033 1.221 5.460
7.033 4.498 5.460
8.879 2.860 1.512
0.228 2.860 3.280
0.859 1.536 1.014
0.859 4.183 1.014
1.079 0.348 6.064
1.079 5.371 6.064
1.486 6.917 0.634
1.486 10.240 0.634
1.694 2.860 6.079
2.804 8.579 2.212
3.012 1.198 4.501
3.012 4.521 4.501
3.419 6.067 2.197
3.419 11.090 2.197
3.639 7.255 4.881
3.639 9.902 4.881
4.270 8.579 7.147
4.726 2.860 0.587
5.356 1.536 2.852
5.356 4.183 2.852
5.577 0.348 5.537
5.577 5.371 5.537
5.983 6.917 3.232
5.983 10.240 3.232
6.192 2.860 5.521
7.302 8.579 1.655
7.510 1.198 7.099
7.510 4.521 7.099
7.917 6.067 1.670
7.917 11.090 1.670
8.137 7.255 6.719
8.137 9.902 6.719
8.768 8.579 4.454
```